The following is a simulated X-ray diffraction stick pattern of TbPm2UAs4. It was derived from a crystal structure in Alexandria, relaxed with PBE, using CuKα.
No peak broadening, texture or thermal motion is included.

Crystal structure
```
data_TbPm2UAs4
_cell_length_a 7.2231
_cell_length_b 4.1560
_cell_length_c 7.2276
_cell_angle_alpha 90.00
_cell_angle_beta 109.14
_cell_angle_gamma 90.00
_symmetry_space_group_name_H-M 'P 1'
_symmetry_Int_Tables_number 1
loop_
_symmetry_equiv_pos_as_xyz
'x,y,z'
loop_
_atom_site_label
_atom_site_fract_x
_atom_site_fract_y
_atom_site_fract_z
Tb1 0.0000 0.0000 0.0000
Pm1 0.0000 0.5000 0.5000
Pm2 0.5000 0.0000 0.5000
U1 0.5000 0.5000 0.0000
As1 0.2516 0.5000 0.2398
As2 0.2558 0.0000 0.7603
As3 0.7442 0.0000 0.2397
As4 0.7484 0.5000 0.7602
```

Principal peaks in the range 15 to 90 degrees two-theta, by angle:
2θ (°)	I_rel
26.11	13
26.25	13
30.32	100
43.20	13
43.43	50
53.71	13
54.02	13
79.87	13

***

The following is a simulated X-ray diffraction stick pattern of Pm5Te4As. It was derived from a crystal structure in Alexandria, relaxed with PBE, using CuKα.
No peak broadening, texture or thermal motion is included.

Crystal structure
```
data_Pm5Te4As
_cell_length_a 7.6734
_cell_length_b 7.6734
_cell_length_c 7.6734
_cell_angle_alpha 99.53
_cell_angle_beta 99.53
_cell_angle_gamma 131.99
_symmetry_space_group_name_H-M 'P 1'
_symmetry_Int_Tables_number 1
loop_
_symmetry_equiv_pos_as_xyz
'x,y,z'
loop_
_atom_site_label
_atom_site_fract_x
_atom_site_fract_y
_atom_site_fract_z
Pm1 0.0000 0.0000 0.0000
Pm2 0.2243 0.4026 0.6269
Pm3 0.4026 0.7757 0.1783
Pm4 0.5974 0.2243 0.8217
Pm5 0.7757 0.5974 0.3731
Te1 0.0921 0.6943 0.7864
Te2 0.3057 0.0921 0.3979
Te3 0.6943 0.9079 0.6021
Te4 0.9079 0.3057 0.2136
As1 0.5000 0.5000 0.0000
```

Principal peaks in the range 15 to 90 degrees two-theta, by angle:
2θ (°)	I_rel
28.47	90
28.59	46
40.76	100
50.50	34
66.75	25
66.97	16
74.14	18
74.32	11

***

The following is a simulated X-ray diffraction stick pattern of Pm5Te5As. It was derived from a crystal structure in Alexandria, relaxed with PBE, using CuKα.
No peak broadening, texture or thermal motion is included.

Crystal structure
```
data_Pm5Te5As
_cell_length_a 7.6461
_cell_length_b 7.6461
_cell_length_c 8.7960
_cell_angle_alpha 107.02
_cell_angle_beta 107.02
_cell_angle_gamma 48.39
_symmetry_space_group_name_H-M 'P 1'
_symmetry_Int_Tables_number 1
loop_
_symmetry_equiv_pos_as_xyz
'x,y,z'
loop_
_atom_site_label
_atom_site_fract_x
_atom_site_fract_y
_atom_site_fract_z
Pm1 0.0000 0.0000 0.0000
Pm2 0.3414 0.3414 0.1601
Pm3 0.3426 0.3426 0.6802
Pm4 0.6574 0.6574 0.3198
Pm5 0.6586 0.6586 0.8399
Te1 0.1631 0.1631 0.8235
Te2 0.1686 0.1686 0.3371
Te3 0.5000 0.5000 0.5000
Te4 0.8314 0.8314 0.6629
Te5 0.8369 0.8369 0.1765
As1 0.5000 0.5000 0.0000
```

Principal peaks in the range 15 to 90 degrees two-theta, by angle:
2θ (°)	I_rel
28.49	92
28.60	89
28.77	87
40.81	68
40.95	100
41.05	33
50.70	71
66.95	30

***

The following is a simulated X-ray diffraction stick pattern of Pm4Te4As. It was derived from a crystal structure in Alexandria, relaxed with PBE, using CuKα.
No peak broadening, texture or thermal motion is included.

Crystal structure
```
data_Pm4Te4As
_cell_length_a 8.3613
_cell_length_b 8.3613
_cell_length_c 8.3613
_cell_angle_alpha 126.64
_cell_angle_beta 126.64
_cell_angle_gamma 78.84
_symmetry_space_group_name_H-M 'P 1'
_symmetry_Int_Tables_number 1
loop_
_symmetry_equiv_pos_as_xyz
'x,y,z'
loop_
_atom_site_label
_atom_site_fract_x
_atom_site_fract_y
_atom_site_fract_z
Pm1 0.0832 0.6643 0.0000
Pm2 0.3357 0.3357 0.4189
Pm3 0.6643 0.0832 0.0000
Pm4 0.9168 0.9168 0.5811
Te1 0.0000 0.5000 0.5000
Te2 0.3001 0.3001 0.0000
Te3 0.5000 0.0000 0.5000
Te4 0.6999 0.6999 0.0000
As1 0.0000 0.0000 0.0000
```

Principal peaks in the range 15 to 90 degrees two-theta, by angle:
2θ (°)	I_rel
21.67	100
27.45	14
33.80	64
36.71	53
40.48	27
41.74	13
48.50	11
62.31	15

***

The following is a simulated X-ray diffraction stick pattern of Pm4Te3As. It was derived from a crystal structure in Alexandria, relaxed with PBE, using CuKα.
No peak broadening, texture or thermal motion is included.

Crystal structure
```
data_Pm4Te3As
_cell_length_a 8.9333
_cell_length_b 12.5083
_cell_length_c 4.3691
_cell_angle_alpha 90.00
_cell_angle_beta 90.00
_cell_angle_gamma 90.00
_symmetry_space_group_name_H-M 'P 1'
_symmetry_Int_Tables_number 1
loop_
_symmetry_equiv_pos_as_xyz
'x,y,z'
loop_
_atom_site_label
_atom_site_fract_x
_atom_site_fract_y
_atom_site_fract_z
Pm1 0.0000 0.2340 0.0000
Pm2 0.0000 0.7660 0.0000
Pm3 0.2244 0.0000 0.5000
Pm4 0.2756 0.5000 0.5000
Pm5 0.5000 0.2660 0.0000
Pm6 0.5000 0.7340 0.0000
Pm7 0.7244 0.5000 0.5000
Pm8 0.7756 0.0000 0.5000
Te1 0.0000 0.5000 0.0000
Te2 0.2500 0.2500 0.5000
Te3 0.2500 0.7500 0.5000
Te4 0.5000 0.0000 0.0000
Te5 0.7500 0.2500 0.5000
Te6 0.7500 0.7500 0.5000
As1 0.0000 0.0000 0.0000
As2 0.5000 0.5000 0.0000
```

Principal peaks in the range 15 to 90 degrees two-theta, by angle:
2θ (°)	I_rel
28.57	100
40.39	12
40.83	49
41.33	13
50.20	12
51.00	13
59.14	11
66.95	20

***

The following is a simulated X-ray diffraction stick pattern of PmTh2As3. It was derived from a crystal structure in Alexandria, relaxed with PBE, using CuKα.
No peak broadening, texture or thermal motion is included.

Crystal structure
```
data_PmTh2As3
_cell_length_a 4.2440
_cell_length_b 6.0022
_cell_length_c 12.7661
_cell_angle_alpha 90.00
_cell_angle_beta 90.00
_cell_angle_gamma 90.00
_symmetry_space_group_name_H-M 'P 1'
_symmetry_Int_Tables_number 1
loop_
_symmetry_equiv_pos_as_xyz
'x,y,z'
loop_
_atom_site_label
_atom_site_fract_x
_atom_site_fract_y
_atom_site_fract_z
Pm1 0.0000 0.0000 0.0000
Pm2 0.5000 0.5000 0.5000
Th1 0.0000 0.0000 0.3341
Th2 0.0000 0.0000 0.6659
Th3 0.5000 0.5000 0.1659
Th4 0.5000 0.5000 0.8341
As1 0.0000 0.5000 0.0000
As2 0.0000 0.5000 0.3328
As3 0.0000 0.5000 0.6672
As4 0.5000 0.0000 0.1672
As5 0.5000 0.0000 0.5000
As6 0.5000 0.0000 0.8328
```

Principal peaks in the range 15 to 90 degrees two-theta, by angle:
2θ (°)	I_rel
25.68	36
29.74	100
42.56	63
50.37	15
52.74	14
52.84	14
70.07	29
77.96	18

***

Number 5 is which compound?
Pm4Te3As